1.
For HoCdBi2, DFT lattice parameters and positions (GGA-PBE) gives the simulated powder X-ray diffraction pattern in this record (Cu Ka).

Top 8 peaks for 5° ≤ 2θ ≤ 70°, low angle first:
Position (°2θ)  intensity  hkl
28.32  100  1 0 4
39.81  41  1 1 0
41.13  37  0 1 8
49.57  22  0 2 4
51.79  6  0 0 12
58.58  13  2 0 8
65.37  19  2 1 4
67.25  17  1 1 12

Structure:
Cell lengths 4.5287, 4.5287, 21.1831 Å; angles 90.00, 90.00, 120.00 degrees
Space group R-3m (No. 166, hexagonal axes)
Unique sites:
1 Ho 0.0000 0.0000 0.0000 [3 per cell]
2 Cd 0.0000 0.0000 0.5000 [3 per cell]
3 Bi 0.0000 0.0000 0.2481 [6 per cell]

2.
For Ho2CuNi4Ge3, DFT lattice parameters and positions (GGA-PBE) gives the simulated powder X-ray diffraction pattern in this record (Cu Ka).

Top 8 peaks for 5° ≤ 2θ ≤ 70°, low angle first:
Position (°2θ)  intensity  hkl
31.49  21  1 1 0
35.47  69  1 0 3
36.59  100  1 1 2
45.14  55  2 0 0
52.02  29  1 0 5
58.68  32  2 1 3
65.74  17  2 2 0
66.12  12  1 1 6

Structure:
Cell lengths 4.0175, 4.0175, 9.7745 Å; angles 90.00, 90.00, 90.00 degrees
Space group P-4m2 (No. 115)
Unique sites:
1 Ho 0.0000 0.5000 0.2456 [2 per cell]
2 Cu 0.5000 0.5000 0.0000 [1 per cell]
3 Ni 0.0000 0.0000 0.5000 [1 per cell]
4 Ni 0.0000 0.5000 0.8680 [2 per cell]
5 Ni 0.5000 0.5000 0.5000 [1 per cell]
6 Ge 0.0000 0.0000 0.0000 [1 per cell]
7 Ge 0.0000 0.5000 0.6315 [2 per cell]

3.
For Ag3HgAu6, DFT lattice parameters and positions (GGA-PBE) gives the simulated powder X-ray diffraction pattern in this record (Cu Ka).

Top 8 peaks for 5° ≤ 2θ ≤ 70°, low angle first:
Position (°2θ)  intensity  hkl
27.45  22  1 2 -1
35.34  27  2 2 -2
36.89  47  2 1 0
37.09  45  2 1 -4
37.36  100  2 2 -1
37.84  64  0 1 3
38.78  47  0 3 1
40.10  22  3 0 -2

Structure:
Cell lengths 7.0537, 7.3208, 10.2979 Å; angles 90.00, 132.90, 90.00 degrees
Space group P2_1/c (No. 14)
Unique sites:
1 Ag 0.0000 0.0000 0.0000 [2 per cell]
2 Ag 0.3430 0.1987 0.5956 [4 per cell]
3 Hg 0.5000 0.0000 0.0000 [2 per cell]
4 Au 0.0573 0.6602 0.8067 [4 per cell]
5 Au 0.1842 0.6318 0.1397 [4 per cell]
6 Au 0.3932 0.1229 0.3546 [4 per cell]

4.
For Tm2ScIr3, DFT lattice parameters and positions (GGA-PBE) gives the simulated powder X-ray diffraction pattern in this record (Cu Ka).

Top 8 peaks for 5° ≤ 2θ ≤ 70°, low angle first:
Position (°2θ)  intensity  hkl
26.46  5  1 3 0
37.77  52  2 0 0
38.43  100  1 3 1
54.48  18  2 6 0
56.46  8  0 0 2
68.57  18  3 3 1
68.69  18  1 9 1
69.94  17  2 0 2

Structure:
Cell lengths 4.7698, 14.2741, 3.2597 Å; angles 90.00, 90.00, 90.00 degrees
Space group Cmmm (No. 65)
Unique sites:
1 Tm 0.0000 0.1660 0.0000 [4 per cell]
2 Sc 0.0000 0.5000 0.0000 [2 per cell]
3 Ir 0.0000 0.0000 0.5000 [2 per cell]
4 Ir 0.0000 0.3390 0.5000 [4 per cell]

5.
For Li3B8C8, DFT lattice parameters and positions (GGA-PBE) gives the simulated powder X-ray diffraction pattern in this record (Cu Ka).

Top 8 peaks for 5° ≤ 2θ ≤ 70°, low angle first:
Position (°2θ)  intensity  hkl
24.09  100  0 0 2
33.07  5  2 0 2
38.59  7  2 2 0
39.71  4  4 0 0
44.21  6  4 0 -2
44.62  10  2 2 -2
47.37  8  2 2 2
49.33  10  0 0 4

Structure:
Cell lengths 9.1495, 5.4389, 7.4445 Å; angles 90.00, 97.00, 90.00 degrees
Space group C2/m (No. 12)
Unique sites:
1 Li 0.0000 0.0000 0.0000 [2 per cell]
2 Li 0.0000 0.0000 0.5000 [2 per cell]
3 Li 0.0000 0.5000 0.0000 [2 per cell]
4 B 0.0959 0.2512 0.2682 [8 per cell]
5 B 0.1573 0.5000 0.7585 [4 per cell]
6 B 0.1608 0.0000 0.7769 [4 per cell]
7 C 0.0783 0.2491 0.7692 [8 per cell]
8 C 0.1750 0.0000 0.2757 [4 per cell]
9 C 0.1745 0.5000 0.2610 [4 per cell]

6.
For TaMo, DFT lattice parameters and positions (GGA-PBE) gives the simulated powder X-ray diffraction pattern in this record (Cu Ka).

Top 8 peaks for 5° ≤ 2θ ≤ 70°, low angle first:
Position (°2θ)  intensity  hkl
18.17  3  0 0 2
21.53  2  0 1 1
29.18  8  1 1 1
39.34  100  1 1 3
39.54  50  2 0 0
55.13  2  2 0 4
56.54  8  0 0 6
57.16  17  2 2 0

Structure:
Cell lengths 4.5615, 4.5544, 9.7661 Å; angles 90.00, 90.00, 90.00 degrees
Space group Amm2 (No. 38)
Unique sites:
1 Ta 0.0000 0.0000 0.0000 [2 per cell]
2 Ta 0.0000 0.0000 0.3219 [2 per cell]
3 Ta 0.5000 0.0000 0.4980 [2 per cell]
4 Mo 0.0000 0.0000 0.6640 [2 per cell]
5 Mo 0.5000 0.0000 0.1649 [2 per cell]
6 Mo 0.5000 0.0000 0.8255 [2 per cell]

7.
For PaGa2O5, DFT lattice parameters and positions (GGA-PBE) gives the simulated powder X-ray diffraction pattern in this record (Cu Ka).

Top 8 peaks for 5° ≤ 2θ ≤ 70°, low angle first:
Position (°2θ)  intensity  hkl
14.81  77  0 2 0
22.76  100  0 2 1
28.29  58  0 3 1
31.36  55  1 0 1
32.26  79  1 1 1
34.52  78  1 3 0
35.61  41  0 1 2
46.63  55  1 2 2

Structure:
Cell lengths 3.4240, 11.9648, 5.1583 Å; angles 90.00, 90.00, 90.00 degrees
Space group Pmmn (No. 59, origin choice 2)
Unique sites:
1 Pa 0.2500 0.2500 0.1121 [2 per cell]
2 Ga 0.2500 0.5947 0.4076 [4 per cell]
3 O 0.2500 0.0757 0.4211 [4 per cell]
4 O 0.2500 0.6382 0.0633 [4 per cell]
5 O 0.2500 0.7500 0.5716 [2 per cell]

8.
For Ni6Hg, DFT lattice parameters and positions (GGA-PBE) gives the simulated powder X-ray diffraction pattern in this record (Cu Ka).

Top 8 peaks for 5° ≤ 2θ ≤ 70°, low angle first:
Position (°2θ)  intensity  hkl
20.20  8  1 1 0
28.72  43  2 0 0
35.36  100  2 1 1
46.17  2  3 1 0
50.87  3  2 2 2
55.28  54  3 2 1
59.47  17  4 0 0
67.35  15  4 2 0

Structure:
Cell lengths 6.2175, 6.2175, 6.2175 Å; angles 90.00, 90.00, 90.00 degrees
Space group Im-3m (No. 229)
Unique sites:
1 Ni 0.0000 0.2500 0.5000 [12 per cell]
2 Hg 0.0000 0.0000 0.0000 [2 per cell]